This entry pairs a crystal structure of VH6F12 with its computed powder diffraction line list. Radiation: CuKα. Structure: a GGA+U-relaxed structure.

Structure:
Cell lengths 7.8056, 7.8056, 14.4777 Å; angles 90.00, 90.00, 120.00 degrees
Space group R-3 (No. 148, hexagonal axes)
Symmetry-distinct sites (fractional):
V1 0.0000 0.0000 0.0000 (multiplicity 3)
H1 0.0219 0.8565 0.4060 (multiplicity 18)
F1 0.0234 0.2002 0.9277 (multiplicity 18)
F2 0.0496 0.2113 0.4082 (multiplicity 18)

Most intense lines, 2θ from 10° to 80°, in order of falling intensity:
d = 4.941 Å, 18.0°, I = 100; d = 2.410 Å, 37.3°, I = 46; d = 2.087 Å, 43.3°, I = 44; d = 6.125 Å, 14.5°, I = 26; d = 4.826 Å, 18.4°, I = 22; d = 1.476 Å, 63.0°, I = 19; d = 3.063 Å, 29.2°, I = 16; d = 3.903 Å, 22.8°, I = 12; d = 3.035 Å, 29.4°, I = 11; d = 3.291 Å, 27.1°, I = 11